For Pr3In2, a cell relaxed with GGA-PBE gives the simulated powder diffractogram in this record (Cu Ka).

Crystal structure
```
data_Pr3In2
_chemical_formula_sum 'Pr12 In8'
_symmetry_space_group_name_H-M 'P n m a'
_symmetry_Int_Tables_number 62
_symmetry_space_group_name_Hall '-P 2ac 2n'
_cell_length_a 12.583
_cell_length_b 5.482
_cell_length_c 9.515
_cell_angle_alpha 90.00
_cell_angle_beta 90.00
_cell_angle_gamma 90.00
loop_
_atom_site_label
_atom_site_type_symbol
_atom_site_fract_x
_atom_site_fract_y
_atom_site_fract_z
_atom_site_occupancy
Pr1 Pr 0.084 0.250 0.086 1
Pr2 Pr 0.088 0.750 0.581 1
Pr3 Pr 0.250 0.250 0.751 1
In1 In 0.001 0.250 0.749 1
In2 In 0.242 0.750 0.918 1
```

Top 10 peaks for 15 to 90 degrees two-theta, low angle first:
28.4 deg, I = 843; 32.6 deg, I = 1000; 34.2 deg, I = 318; 43.8 deg, I = 337; 48.0 deg, I = 122; 55.1 deg, I = 181; 55.7 deg, I = 236; 58.3 deg, I = 125; 59.2 deg, I = 129; 68.3 deg, I = 77